Entry 1:
Starting from a DFT-relaxed cell (PBE, the Materials Project), the powder diffractogram of EuSbAu was computed for Cu Kα (λ = 1.5418 Å).
Kinematic intensities with the Lorentz-polarization factor, no thermal factor.

Cell: 4.7479 4.7479 8.3545 Å, 90.00 90.00 120.00°
Space group P6_3/mmc (No. 194)
Asymmetric unit:
Eu: 0.0000 0.0000 0.0000 (multiplicity 2)
Sb: 0.3333 0.6667 0.2500 (multiplicity 2)
Au: 0.3333 0.6667 0.7500 (multiplicity 2)

Peak list (8 most intense, 2θ = 5–70°, in order of rising 2θ)
| (hkl) | Position (°2θ) | I (rel.) |
| --- | --- | --- |
| 0 0 2 | 21.27 | 11 |
| 1 0 2 | 30.51 | 100 |
| 1 1 0 | 37.90 | 64 |
| 0 0 4 | 43.32 | 15 |
| 2 0 2 | 49.41 | 26 |
| 1 1 4 | 58.89 | 35 |
| 2 1 2 | 63.91 | 24 |
| 3 0 0 | 68.45 | 11 |

***

Entry 2:
Starting from a DFT-relaxed cell (PBE, the Materials Project), the powder diffractogram of EuSi2Au2 was computed for Cu Kα (λ = 1.5418 Å).
Kinematic intensities with the Lorentz-polarization factor, no thermal factor.

Cell: 4.390 4.390 10.190 Å, 90.00 90.00 90.00°
Space group I4/mmm (No. 139)
Asymmetric unit:
Eu: 0.000 0.000 0.000 (multiplicity 2)
Si: 0.000 0.000 0.385 (multiplicity 4)
Au: 0.000 0.500 0.250 (multiplicity 4)

Peak list (8 most intense, 2θ = 5–70°, in order of rising 2θ)
| (hkl) | Position (°2θ) | I (rel.) |
| --- | --- | --- |
| 0 0 2 | 17.41 | 22 |
| 1 1 2 | 33.81 | 100 |
| 0 0 4 | 35.23 | 18 |
| 2 0 0 | 41.13 | 35 |
| 1 1 4 | 46.09 | 12 |
| 2 0 4 | 55.24 | 20 |
| 2 2 0 | 59.57 | 12 |
| 1 1 6 | 62.32 | 16 |

***

Entry 3:
Starting from a DFT-relaxed cell (PBE, the Materials Project), the powder diffractogram of EuSnAu2 was computed for Cu Kα (λ = 1.5418 Å).
Kinematic intensities with the Lorentz-polarization factor, no thermal factor.

Cell: 7.210 7.210 7.210 Å, 90.00 90.00 90.00°
Space group Fm-3m (No. 225)
Asymmetric unit:
Eu: 0.000 0.000 0.000 (multiplicity 4)
Sn: 0.000 0.000 0.500 (multiplicity 4)
Au: 0.250 0.250 0.250 (multiplicity 8)

Peak list (7 most intense, 2θ = 5–70°, in order of rising 2θ)
| (hkl) | Position (°2θ) | I (rel.) |
| --- | --- | --- |
| 1 1 1 | 21.35 | 1 |
| 2 0 0 | 24.70 | 4 |
| 2 2 0 | 35.21 | 100 |
| 2 2 2 | 43.48 | 1 |
| 4 0 0 | 50.65 | 18 |
| 4 2 0 | 57.14 | 2 |
| 4 2 2 | 63.18 | 37 |

***

Entry 4:
Starting from a DFT-relaxed cell (PBE, the Materials Project), the powder diffractogram of Eu2Sn5Au2 was computed for Cu Kα (λ = 1.5418 Å).
Kinematic intensities with the Lorentz-polarization factor, no thermal factor.

Cell: 9.587 4.657 10.525 Å, 90.00 91.47 90.00°
Space group P2_1/m (No. 11)
Asymmetric unit:
Eu: 0.099 0.250 0.253 (multiplicity 2)
Eu: 0.360 0.750 0.747 (multiplicity 2)
Sn: 0.106 0.250 0.613 (multiplicity 2)
Sn: 0.136 0.750 0.023 (multiplicity 2)
Sn: 0.371 0.750 0.257 (multiplicity 2)
Sn: 0.386 0.250 0.484 (multiplicity 2)
Sn: 0.395 0.250 0.021 (multiplicity 2)
Au: 0.146 0.250 0.873 (multiplicity 2)
Au: 0.179 0.750 0.472 (multiplicity 2)

Peak list (8 most intense, 2θ = 5–70°, in order of rising 2θ)
| (hkl) | Position (°2θ) | I (rel.) |
| --- | --- | --- |
| 2 1 -2 | 31.47 | 84 |
| 2 1 2 | 31.99 | 100 |
| 3 0 2 | 33.15 | 20 |
| 0 0 4 | 34.06 | 24 |
| 4 0 0 | 37.54 | 33 |
| 0 2 0 | 38.67 | 48 |
| 4 2 0 | 54.99 | 22 |
| 2 1 6 | 60.02 | 17 |